# 1
Computed powder XRD pattern of TlZnAgPtSe for Cu Ka, from the PBE geometry in Alexandria.
Kinematic intensities with the Lorentz-polarization factor, no thermal factor.

```
data_TlZnAgPtSe
_cell_length_a 4.5665
_cell_length_b 4.5665
_cell_length_c 19.7655
_cell_angle_alpha 90.00
_cell_angle_beta 90.00
_cell_angle_gamma 120.00
_symmetry_space_group_name_H-M 'R 3 m'
_symmetry_Int_Tables_number 160
_symmetry_space_group_name_Hall 'R 3 -2"'
loop_
_atom_site_label
_atom_site_type_symbol
_atom_site_fract_x
_atom_site_fract_y
_atom_site_fract_z
Tl1 Tl 0.0000 0.0000 0.0000
Zn1 Zn 0.0000 0.0000 0.8061
Ag1 Ag 0.0000 0.0000 0.4353
Pt1 Pt 0.0000 0.0000 0.1423
Se1 Se 0.0000 0.0000 0.2660
```

Peak list (6 most intense, 10° ≤ 2θ ≤ 80°, sorted by position)
h k l  d_spacing  2θ/deg  Rel. int.
0 0 3  6.589  13.44  27
1 0 1  3.878  22.93  91
0 0 6  3.294  27.07  32
1 0 7  2.298  39.20  63
1 1 0  2.283  39.47  100
1 1 6  1.877  48.51  39


# 2
Computed powder XRD pattern of TlZnAgPtSe for Cu Ka, from the PBE geometry in Alexandria.
Kinematic intensities with the Lorentz-polarization factor, no thermal factor.

```
data_TlZnAgPtSe
_cell_length_a 13.2446
_cell_length_b 4.2805
_cell_length_c 4.9192
_cell_angle_alpha 90.00
_cell_angle_beta 111.57
_cell_angle_gamma 90.00
_symmetry_space_group_name_H-M 'C 1 m 1'
_symmetry_Int_Tables_number 8
loop_
_symmetry_equiv_pos_as_xyz
'x,y,z'
'x,-y,z'
'x+1/2,y+1/2,z'
'x+1/2,-y+1/2,z'
loop_
_atom_site_label
_atom_site_type_symbol
_atom_site_fract_x
_atom_site_fract_y
_atom_site_fract_z
Tl1 Tl 0.0000 0.0000 0.0000
Zn1 Zn 0.3156 0.0000 0.3176
Ag1 Ag 0.0681 0.5000 0.5725
Pt1 Pt 0.4151 0.5000 0.4156
Se1 Se 0.2004 0.5000 0.2052
```

Peak list (6 most intense, 10° ≤ 2θ ≤ 80°, sorted by position)
h k l  d_spacing  2θ/deg  Rel. int.
2 0 0  6.158  14.38  100
2 0 -1  4.568  19.43  63
1 1 0  4.043  21.98  72
3 1 0  2.963  30.16  81
1 1 1  2.860  31.28  57
2 0 -2  2.460  36.53  65


# 3
Computed powder XRD pattern of TlZnAgPtSe for Cu Ka, from the PBE geometry in Alexandria.
Kinematic intensities with the Lorentz-polarization factor, no thermal factor.

```
data_TlZnAgPtSe
_cell_length_a 10.0689
_cell_length_b 4.0903
_cell_length_c 5.3332
_cell_angle_alpha 90.00
_cell_angle_beta 102.60
_cell_angle_gamma 90.00
_symmetry_space_group_name_H-M 'C 1 m 1'
_symmetry_Int_Tables_number 8
loop_
_symmetry_equiv_pos_as_xyz
'x,y,z'
'x,-y,z'
'x+1/2,y+1/2,z'
'x+1/2,-y+1/2,z'
loop_
_atom_site_label
_atom_site_type_symbol
_atom_site_fract_x
_atom_site_fract_y
_atom_site_fract_z
Tl1 Tl 0.0000 0.0000 0.0000
Zn1 Zn 0.2432 0.0000 0.7681
Ag1 Ag 0.0934 0.5000 0.5071
Pt1 Pt 0.2209 0.5000 0.0455
Se1 Se 0.3212 0.0000 0.3605
```

Peak list (6 most intense, 10° ≤ 2θ ≤ 80°, sorted by position)
h k l  d_spacing  2θ/deg  Rel. int.
0 0 1  5.205  17.04  65
1 1 1  2.942  30.39  100
3 1 0  2.557  35.10  66
3 1 -1  2.467  36.42  55
4 0 -1  2.436  36.90  50
0 2 0  2.045  44.29  48


# 4
Computed powder XRD pattern of Sm3Ag2Pt3 for Cu Ka, from the PBE geometry in Alexandria.
Kinematic intensities with the Lorentz-polarization factor, no thermal factor.

```
data_Sm3Ag2Pt3
_cell_length_a 8.6496
_cell_length_b 8.6496
_cell_length_c 5.7756
_cell_angle_alpha 90.00
_cell_angle_beta 90.00
_cell_angle_gamma 120.00
_symmetry_space_group_name_H-M 'P 63/m c m'
_symmetry_Int_Tables_number 193
_symmetry_space_group_name_Hall '-P 6c 2'
loop_
_atom_site_label
_atom_site_type_symbol
_atom_site_fract_x
_atom_site_fract_y
_atom_site_fract_z
Sm1 Sm 0.0000 0.3009 0.2500
Ag1 Ag 0.3333 0.6667 0.0000
Pt1 Pt 0.0000 0.3637 0.7500
```

Peak list (6 most intense, 10° ≤ 2θ ≤ 80°, sorted by position)
h k l  d_spacing  2θ/deg  Rel. int.
0 0 2  2.888  30.97  24
2 1 1  2.542  35.31  27
3 0 0  2.497  35.97  100
1 1 2  2.402  37.45  72
3 0 2  1.889  48.18  32
3 0 4  1.250  76.16  22


# 5
Computed powder XRD pattern of Sm4Ag3Pt for Cu Ka, from the PBE geometry in Alexandria.
Kinematic intensities with the Lorentz-polarization factor, no thermal factor.

```
data_Sm4Ag3Pt
_cell_length_a 3.6710
_cell_length_b 3.6710
_cell_length_c 14.7423
_cell_angle_alpha 90.00
_cell_angle_beta 90.00
_cell_angle_gamma 90.00
_symmetry_space_group_name_H-M 'P 4/m m m'
_symmetry_Int_Tables_number 123
_symmetry_space_group_name_Hall '-P 4 2'
loop_
_atom_site_label
_atom_site_type_symbol
_atom_site_fract_x
_atom_site_fract_y
_atom_site_fract_z
Sm1 Sm 0.0000 0.0000 0.1141
Sm2 Sm 0.0000 0.0000 0.3718
Ag1 Ag 0.5000 0.5000 0.2466
Ag2 Ag 0.5000 0.5000 0.5000
Pt1 Pt 0.5000 0.5000 0.0000
```

Peak list (6 most intense, 10° ≤ 2θ ≤ 80°, sorted by position)
h k l  d_spacing  2θ/deg  Rel. int.
1 1 0  2.599  34.51  100
0 0 8  1.843  49.46  6
2 0 0  1.835  49.67  12
1 1 8  1.503  61.73  11
2 1 4  1.500  61.87  24
2 0 8  1.300  72.71  7


# 6
Computed powder XRD pattern of Sm4AgPt2 for Cu Ka, from the PBE geometry in Alexandria.
Kinematic intensities with the Lorentz-polarization factor, no thermal factor.

```
data_Sm4AgPt2
_cell_length_a 11.4277
_cell_length_b 8.7560
_cell_length_c 9.3449
_cell_angle_alpha 90.00
_cell_angle_beta 127.69
_cell_angle_gamma 90.00
_symmetry_space_group_name_H-M 'C 1 2 1'
_symmetry_Int_Tables_number 5
loop_
_symmetry_equiv_pos_as_xyz
'x,y,z'
'-x,y,-z'
'x+1/2,y+1/2,z'
'-x+1/2,y+1/2,-z'
loop_
_atom_site_label
_atom_site_type_symbol
_atom_site_fract_x
_atom_site_fract_y
_atom_site_fract_z
Sm1 Sm 0.0537 0.0000 0.3505
Sm2 Sm 0.0858 0.6044 0.2390
Sm3 Sm 0.1530 0.3545 0.7387
Sm4 Sm 0.2032 0.2500 0.1493
Ag1 Ag 0.0000 0.6806 0.5000
Ag2 Ag 0.0000 0.9302 0.0000
Pt1 Pt 0.1677 0.3104 0.4371
Pt2 Pt 0.2304 0.5605 0.0627
```

Peak list (6 most intense, 10° ≤ 2θ ≤ 80°, sorted by position)
h k l  d_spacing  2θ/deg  Rel. int.
2 0 1  3.104  28.76  36
3 1 0  2.850  31.39  100
1 3 -1  2.778  32.23  65
2 2 1  2.532  35.45  61
5 1 -2  2.187  41.27  38
1 1 -4  2.022  44.84  32